No. 1
The following is a calculated powder diffraction line list of K4Rb5Bi4. It was derived from a PBE-relaxed structure, using Cu Kα.
No peak broadening, texture or thermal motion is included.

Cell and atoms:
a b c (Å): 10.9479 10.9479 10.9479
angles (deg): 94.23 94.23 148.49
Sites, in units of the cell vectors:
K1 0.1064 0.6208 0.7272
K2 0.3792 0.1064 0.4856
K3 0.6208 0.8936 0.5144
K4 0.8936 0.3792 0.2728
Rb1 0.1189 0.1992 0.3180
Rb2 0.1992 0.8811 0.0803
Rb3 0.5000 0.5000 0.0000
Rb4 0.8008 0.1189 0.9197
Rb5 0.8811 0.8008 0.6819
Bi1 0.2563 0.4289 0.6852
Bi2 0.4289 0.7437 0.1726
Bi3 0.5711 0.2563 0.8274
Bi4 0.7437 0.5711 0.3148

Top 12 peaks for 2θ = 10–90°, sorted by position:
2θ = 16.05°, I 27
2θ = 16.83°, I 30
2θ = 18.83°, I 35
2θ = 20.01°, I 45
2θ = 26.26°, I 100
2θ = 26.76°, I 33
2θ = 28.91°, I 87
2θ = 30.06°, I 39
2θ = 35.12°, I 28
2θ = 35.76°, I 37
2θ = 46.90°, I 38
2θ = 51.80°, I 23

No. 2
The following is a calculated powder diffraction line list of K4Rb2Bi. It was derived from a PBE-relaxed structure, using Cu Kα.
No peak broadening, texture or thermal motion is included.

Cell and atoms:
a b c (Å): 6.8939 6.8939 22.2500
angles (deg): 90.00 90.00 90.00
Sites, in units of the cell vectors:
K1 0.0000 0.0000 0.1559
K2 0.0000 0.0000 0.8441
K3 0.0000 0.5000 0.0000
K4 0.0000 0.5000 0.5000
K5 0.5000 0.0000 0.0000
K6 0.5000 0.0000 0.5000
K7 0.5000 0.5000 0.3441
K8 0.5000 0.5000 0.6559
Rb1 0.0000 0.0000 0.3531
Rb2 0.0000 0.0000 0.6469
Rb3 0.5000 0.5000 0.1469
Rb4 0.5000 0.5000 0.8531
Bi1 0.0000 0.0000 0.0000
Bi2 0.5000 0.5000 0.5000

Top 12 peaks for 2θ = 10–90°, sorted by position:
2θ = 13.45°, I 48
2θ = 17.56°, I 100
2θ = 18.20°, I 83
2θ = 23.80°, I 35
2θ = 24.00°, I 37
2θ = 25.85°, I 76
2θ = 30.28°, I 36
2θ = 31.42°, I 51
2θ = 35.42°, I 25
2θ = 35.56°, I 53
2θ = 36.88°, I 29
2θ = 44.48°, I 27